[1]
The following is a computed powder X-ray diffraction pattern of AlPt2Br2. It was derived from a crystal structure in OQMD, relaxed with PBE, using copper Kα.
Neutral-atom scattering factors, no anomalous dispersion.

Cell and atoms:
```
data_AlPt2Br2
_symmetry_space_group_name_H-M 'P 1'
_symmetry_Int_Tables_number 1
_symmetry_space_group_name_Hall 'P 1'
_cell_length_a 3.960
_cell_length_b 3.960
_cell_length_c 14.587
_cell_angle_alpha 90.00
_cell_angle_beta 90.00
_cell_angle_gamma 118.38
loop_
_atom_site_label
_atom_site_type_symbol
_atom_site_fract_x
_atom_site_fract_y
_atom_site_fract_z
Al1 Al 0.009 0.991 0.750
Al2 Al 0.991 0.009 0.250
Pt1 Pt 0.345 0.655 0.663
Pt2 Pt 0.345 0.655 0.837
Pt3 Pt 0.655 0.345 0.163
Pt4 Pt 0.655 0.345 0.337
Br1 Br 0.314 0.686 0.078
Br2 Br 0.314 0.686 0.422
Br3 Br 0.686 0.314 0.578
Br4 Br 0.686 0.314 0.922
```

Top 10 peaks for 2θ from 10° to 80°, by intensity:
26.3°, 3.391 Å, rel. 100
40.3°, 2.237 Å, rel. 92
45.9°, 1.979 Å, rel. 66
25.6°, 3.484 Å, rel. 64
26.9°, 3.312 Å, rel. 53
40.7°, 2.214 Å, rel. 49
24.4°, 3.647 Å, rel. 38
44.7°, 2.028 Å, rel. 38
12.1°, 7.294 Å, rel. 33
62.1°, 1.496 Å, rel. 29

=====

[2]
The following is a computed powder X-ray diffraction pattern of Li2TaNbGa2Pt2. It was derived from a crystal structure in OQMD, relaxed with PBE, using copper Kα.
Neutral-atom scattering factors, no anomalous dispersion.

Cell and atoms:
```
data_Li2TaNbGa2Pt2
_symmetry_space_group_name_H-M 'P 1'
_symmetry_Int_Tables_number 1
_symmetry_space_group_name_Hall 'P 1'
_cell_length_a 4.412
_cell_length_b 4.412
_cell_length_c 6.241
_cell_angle_alpha 90.00
_cell_angle_beta 90.00
_cell_angle_gamma 90.00
loop_
_atom_site_label
_atom_site_type_symbol
_atom_site_fract_x
_atom_site_fract_y
_atom_site_fract_z
Li1 Li 0.000 0.500 0.248
Li2 Li 0.500 0.000 0.752
Ta1 Ta 0.500 0.500 0.500
Nb1 Nb 0.000 0.000 0.000
Ga1 Ga 0.000 0.000 0.500
Ga2 Ga 0.500 0.500 0.000
Pt1 Pt 0.000 0.500 0.730
Pt2 Pt 0.500 0.000 0.270
```

Top 10 peaks for 2θ from 10° to 80°, by intensity:
40.9°, 2.206 Å, rel. 100
24.7°, 3.602 Å, rel. 58
74.5°, 1.274 Å, rel. 33
48.4°, 1.881 Å, rel. 28
59.2°, 1.560 Å, rel. 17
65.2°, 1.431 Å, rel. 11
79.9°, 1.201 Å, rel. 8
14.2°, 6.241 Å, rel. 5
52.9°, 1.731 Å, rel. 2
35.2°, 2.548 Å, rel. 2